1.
This entry pairs a crystal structure of Na2Zn5Au12 with its computed X-ray powder pattern. Radiation: a wavelength of 1.5418 Å. Structure: the PBE geometry in Alexandria.
Lines closer than 0.1° are merged.

Peak list (12 most intense, 15° ≤ 2θ ≤ 90°, in order of falling intensity)
- 2θ 38.2, d 2.357, rel. 100
- 2θ 42.9, d 2.110, rel. 94
- 2θ 18.7, d 4.733, rel. 76
- 2θ 38.6, d 2.331, rel. 36
- 2θ 43.3, d 2.091, rel. 32
- 2θ 33.7, d 2.660, rel. 23
- 2θ 32.8, d 2.733, rel. 20
- 2θ 69.6, d 1.351, rel. 18
- 2θ 68.7, d 1.366, rel. 18
- 2θ 38.0, d 2.366, rel. 17
- 2θ 81.7, d 1.179, rel. 17
- 2θ 62.1, d 1.494, rel. 16

Structure:
```
data_Na2Zn5Au12
_cell_length_a 9.4659
_cell_length_b 9.4659
_cell_length_c 13.9865
_cell_angle_alpha 90.00
_cell_angle_beta 90.00
_cell_angle_gamma 120.00
_space_group_name_H-M_alt 'R -3 m'
_space_group_IT_number 166
_space_group_name_Hall '-R 3 2"'
loop_
_atom_site_label
_atom_site_fract_x
_atom_site_fract_y
_atom_site_fract_z
Na1 0.0000 0.0000 0.1469
Zn1 0.0000 0.0000 0.4038
Zn2 0.0000 0.5000 0.0000
Au1 0.0000 0.3123 0.5000
Au2 0.0244 0.5122 0.3439
```



2.
This entry pairs a crystal structure of RbTl2B4 with its computed X-ray powder pattern. Radiation: a wavelength of 1.5418 Å. Structure: the PBE geometry in Alexandria.
Lines closer than 0.1° are merged.

Peak list (12 most intense, 15° ≤ 2θ ≤ 90°, in order of falling intensity)
- 2θ 25.2, d 3.534, rel. 100
- 2θ 18.9, d 4.697, rel. 75
- 2θ 37.3, d 2.410, rel. 69
- 2θ 26.4, d 3.379, rel. 59
- 2θ 52.8, d 1.735, rel. 51
- 2θ 35.9, d 2.499, rel. 46
- 2θ 45.1, d 2.009, rel. 28
- 2θ 36.5, d 2.465, rel. 28
- 2θ 40.9, d 2.206, rel. 22
- 2θ 58.4, d 1.580, rel. 20
- 2θ 77.0, d 1.238, rel. 17
- 2θ 51.7, d 1.767, rel. 16

Structure:
```
data_RbTl2B4
_cell_length_a 4.9971
_cell_length_b 4.9971
_cell_length_c 13.7577
_cell_angle_alpha 90.00
_cell_angle_beta 90.00
_cell_angle_gamma 90.00
_space_group_name_H-M_alt 'I 4/m m m'
_space_group_IT_number 139
_space_group_name_Hall '-I 4 2'
loop_
_atom_site_label
_atom_site_fract_x
_atom_site_fract_y
_atom_site_fract_z
Rb1 0.0000 0.0000 0.0000
Tl1 0.0000 0.0000 0.3886
B1 0.0000 0.0000 0.2205
B2 0.0000 0.5000 0.0000
```



3.
This entry pairs a crystal structure of Ti3Zn3H with its computed X-ray powder pattern. Radiation: a wavelength of 1.5418 Å. Structure: the PBE geometry in Alexandria.
Lines closer than 0.1° are merged.

Peak list (12 most intense, 15° ≤ 2θ ≤ 90°, in order of falling intensity)
- 2θ 40.8, d 2.213, rel. 100
- 2θ 44.6, d 2.033, rel. 36
- 2θ 38.3, d 2.347, rel. 22
- 2θ 69.3, d 1.355, rel. 22
- 2θ 83.7, d 1.156, rel. 16
- 2θ 47.4, d 1.917, rel. 13
- 2θ 46.7, d 1.944, rel. 8
- 2θ 75.8, d 1.255, rel. 8
- 2θ 71.0, d 1.328, rel. 8
- 2θ 88.3, d 1.107, rel. 7
- 2θ 75.3, d 1.262, rel. 6
- 2θ 62.0, d 1.497, rel. 5

Structure:
Lattice parameters (Å, degrees): 11.5002 11.5002 11.5002 90.00 90.00 90.00
Space group Fd-3m (No. 227, origin choice 2)
One atom of each set of equivalent atoms:
Ti 0.0695 0.3750 0.3750 x48
Zn 0.0000 0.0000 0.5000 x16
Zn 0.0379 0.0379 0.7121 x32
H 0.0000 0.0000 0.0000 x16



4.
This entry pairs a crystal structure of SiBAsRhS with its computed X-ray powder pattern. Radiation: a wavelength of 1.5418 Å. Structure: the PBE geometry in Alexandria.
Lines closer than 0.1° are merged.

Peak list (12 most intense, 15° ≤ 2θ ≤ 90°, in order of falling intensity)
- 2θ 34.5, d 2.603, rel. 100
- 2θ 17.8, d 4.991, rel. 95
- 2θ 35.8, d 2.510, rel. 61
- 2θ 16.7, d 5.302, rel. 53
- 2θ 41.0, d 2.201, rel. 49
- 2θ 21.2, d 4.188, rel. 46
- 2θ 53.4, d 1.715, rel. 40
- 2θ 46.0, d 1.973, rel. 33
- 2θ 47.5, d 1.915, rel. 28
- 2θ 45.8, d 1.983, rel. 26
- 2θ 42.4, d 2.133, rel. 24
- 2θ 53.9, d 1.701, rel. 21

Structure:
```
data_SiBAsRhS
_cell_length_a 5.1515
_cell_length_b 2.9881
_cell_length_c 5.4726
_cell_angle_alpha 90.00
_cell_angle_beta 104.33
_cell_angle_gamma 90.00
_space_group_name_H-M_alt 'P 1 m 1'
_space_group_IT_number 6
loop_
_space_group_symop_operation_xyz
'x,y,z'
'x,-y,z'
loop_
_atom_site_label
_atom_site_fract_x
_atom_site_fract_y
_atom_site_fract_z
Si1 0.0000 0.0000 0.0000
B1 0.3087 0.0000 0.3122
As1 0.7058 0.0000 0.2785
Rh1 0.8864 0.5000 0.6465
S1 0.3315 0.5000 0.5397
```



5.
This entry pairs a crystal structure of LaY7Ho2 with its computed X-ray powder pattern. Radiation: a wavelength of 1.5418 Å. Structure: the PBE geometry in Alexandria.
Lines closer than 0.1° are merged.

Peak list (12 most intense, 15° ≤ 2θ ≤ 90°, in order of falling intensity)
- 2θ 30.6, d 2.925, rel. 100
- 2θ 35.4, d 2.533, rel. 50
- 2θ 60.6, d 1.527, rel. 38
- 2θ 51.0, d 1.791, rel. 35
- 2θ 83.1, d 1.163, rel. 10
- 2θ 85.8, d 1.132, rel. 9
- 2θ 63.6, d 1.463, rel. 9
- 2θ 83.2, d 1.161, rel. 7
- 2θ 85.7, d 1.133, rel. 7
- 2θ 15.2, d 5.847, rel. 4
- 2θ 75.0, d 1.266, rel. 4
- 2θ 60.7, d 1.526, rel. 3

Structure:
```
data_LaY7Ho2
_cell_length_a 6.2004
_cell_length_b 6.2062
_cell_length_c 9.4734
_cell_angle_alpha 102.54
_cell_angle_beta 109.06
_cell_angle_gamma 99.62
_space_group_name_H-M_alt 'P -1'
_space_group_IT_number 2
loop_
_space_group_symop_operation_xyz
'x,y,z'
'-x,-y,-z'
loop_
_atom_site_label
_atom_site_fract_x
_atom_site_fract_y
_atom_site_fract_z
La1 0.0000 0.0000 0.0000
Y1 0.0000 0.5000 0.5000
Y2 0.2004 0.4999 0.8988
Y3 0.2020 0.0025 0.4015
Y4 0.3989 0.9996 0.7974
Ho1 0.4014 0.5015 0.3022
```



6.
This entry pairs a crystal structure of CuNiSeBr2 with its computed X-ray powder pattern. Radiation: a wavelength of 1.5418 Å. Structure: the PBE geometry in Alexandria.
Lines closer than 0.1° are merged.

Peak list (12 most intense, 15° ≤ 2θ ≤ 90°, in order of falling intensity)
- 2θ 31.9, d 2.809, rel. 100
- 2θ 36.0, d 2.496, rel. 84
- 2θ 54.0, d 1.699, rel. 50
- 2θ 38.8, d 2.319, rel. 34
- 2θ 51.8, d 1.765, rel. 28
- 2θ 62.1, d 1.494, rel. 28
- 2θ 66.6, d 1.404, rel. 26
- 2θ 17.8, d 4.991, rel. 21
- 2θ 87.4, d 1.116, rel. 12
- 2θ 89.1, d 1.099, rel. 12
- 2θ 66.0, d 1.416, rel. 12
- 2θ 88.5, d 1.104, rel. 11

Structure:
```
data_CuNiSeBr2
_cell_length_a 4.9913
_cell_length_b 4.9913
_cell_length_c 4.6382
_cell_angle_alpha 90.00
_cell_angle_beta 90.00
_cell_angle_gamma 90.00
_space_group_name_H-M_alt 'P 4/m m m'
_space_group_IT_number 123
_space_group_name_Hall '-P 4 2'
loop_
_atom_site_label
_atom_site_fract_x
_atom_site_fract_y
_atom_site_fract_z
Cu1 0.0000 0.0000 0.0000
Ni1 0.5000 0.5000 0.5000
Se1 0.5000 0.5000 0.0000
Br1 0.0000 0.5000 0.5000
```



7.
This entry pairs a crystal structure of BaPa2Se6 with its computed X-ray powder pattern. Radiation: a wavelength of 1.5418 Å. Structure: the PBE geometry in Alexandria.
Lines closer than 0.1° are merged.

Peak list (12 most intense, 15° ≤ 2θ ≤ 90°, in order of falling intensity)
- 2θ 28.8, d 3.096, rel. 100
- 2θ 37.2, d 2.417, rel. 73
- 2θ 19.7, d 4.501, rel. 72
- 2θ 18.4, d 4.811, rel. 71
- 2θ 19.6, d 4.527, rel. 58
- 2θ 30.7, d 2.911, rel. 54
- 2θ 39.4, d 2.286, rel. 39
- 2θ 50.6, d 1.803, rel. 39
- 2θ 34.2, d 2.623, rel. 34
- 2θ 46.5, d 1.952, rel. 32
- 2θ 35.8, d 2.508, rel. 32
- 2θ 31.9, d 2.802, rel. 30

Structure:
```
data_BaPa2Se6
_cell_length_a 15.1229
_cell_length_b 12.0587
_cell_length_c 7.4521
_cell_angle_alpha 90.00
_cell_angle_beta 114.96
_cell_angle_gamma 90.00
_space_group_name_H-M_alt 'C 1 2/c 1'
_space_group_IT_number 15
loop_
_space_group_symop_operation_xyz
'x,y,z'
'-x,-y,-z'
'-x,y,-z+1/2'
'x,-y,z+1/2'
'x+1/2,y+1/2,z'
'-x+1/2,-y+1/2,-z'
'-x+1/2,y+1/2,-z+1/2'
'x+1/2,-y+1/2,z+1/2'
loop_
_atom_site_label
_atom_site_fract_x
_atom_site_fract_y
_atom_site_fract_z
Ba1 0.0000 0.1854 0.2500
Pa1 0.2446 0.4198 0.9359
Se1 0.1270 0.0417 0.6666
Se2 0.1360 0.2633 0.0220
Se3 0.1436 0.4116 0.5259
```



8.
This entry pairs a crystal structure of HfScI3 with its computed X-ray powder pattern. Radiation: a wavelength of 1.5418 Å. Structure: the PBE geometry in Alexandria.
Lines closer than 0.1° are merged.

Peak list (12 most intense, 15° ≤ 2θ ≤ 90°, in order of falling intensity)
- 2θ 27.0, d 3.297, rel. 100
- 2θ 31.3, d 2.855, rel. 71
- 2θ 44.9, d 2.019, rel. 52
- 2θ 53.2, d 1.722, rel. 46
- 2θ 74.3, d 1.277, rel. 23
- 2θ 72.1, d 1.310, rel. 19
- 2θ 55.8, d 1.648, rel. 18
- 2θ 82.8, d 1.166, rel. 18
- 2θ 89.1, d 1.099, rel. 15
- 2θ 22.0, d 4.038, rel. 9
- 2θ 65.4, d 1.428, rel. 8
- 2θ 38.6, d 2.331, rel. 4

Structure:
```
data_HfScI3
_cell_length_a 5.7102
_cell_length_b 5.7102
_cell_length_c 5.7102
_cell_angle_alpha 90.00
_cell_angle_beta 90.00
_cell_angle_gamma 90.00
_space_group_name_H-M_alt 'P m -3 m'
_space_group_IT_number 221
_space_group_name_Hall '-P 4 2 3'
loop_
_atom_site_label
_atom_site_fract_x
_atom_site_fract_y
_atom_site_fract_z
Hf1 0.0000 0.0000 0.0000
Sc1 0.5000 0.5000 0.5000
I1 0.0000 0.5000 0.5000
```



9.
This entry pairs a crystal structure of ThHPb2 with its computed X-ray powder pattern. Radiation: a wavelength of 1.5418 Å. Structure: the PBE geometry in Alexandria.
Lines closer than 0.1° are merged.

Peak list (12 most intense, 15° ≤ 2θ ≤ 90°, in order of falling intensity)
- 2θ 31.7, d 2.822, rel. 100
- 2θ 31.4, d 2.846, rel. 86
- 2θ 33.4, d 2.683, rel. 76
- 2θ 49.8, d 1.832, rel. 53
- 2θ 28.3, d 3.149, rel. 47
- 2θ 33.1, d 2.707, rel. 38
- 2θ 60.2, d 1.537, rel. 33
- 2θ 59.9, d 1.545, rel. 28
- 2θ 60.6, d 1.529, rel. 19
- 2θ 55.0, d 1.668, rel. 18
- 2θ 58.8, d 1.570, rel. 17
- 2θ 58.3, d 1.584, rel. 14

Structure:
```
data_ThHPb2
_cell_length_a 6.3474
_cell_length_b 3.6644
_cell_length_c 8.6983
_cell_angle_alpha 90.00
_cell_angle_beta 103.32
_cell_angle_gamma 90.00
_space_group_name_H-M_alt 'C 1 m 1'
_space_group_IT_number 8
loop_
_space_group_symop_operation_xyz
'x,y,z'
'x,-y,z'
'x+1/2,y+1/2,z'
'x+1/2,-y+1/2,z'
loop_
_atom_site_label
_atom_site_fract_x
_atom_site_fract_y
_atom_site_fract_z
Th1 0.0000 0.0000 0.0000
H1 0.1370 0.5000 0.9058
Pb1 0.2247 0.0000 0.6550
Pb2 0.4463 0.0000 0.3306
```



10.
This entry pairs a crystal structure of DyIn3Br7 with its computed X-ray powder pattern. Radiation: a wavelength of 1.5418 Å. Structure: the PBE geometry in Alexandria.
Lines closer than 0.1° are merged.

Peak list (12 most intense, 15° ≤ 2θ ≤ 90°, in order of falling intensity)
- 2θ 29.8, d 3.002, rel. 100
- 2θ 25.3, d 3.525, rel. 81
- 2θ 17.0, d 5.216, rel. 61
- 2θ 31.0, d 2.881, rel. 55
- 2θ 21.1, d 4.207, rel. 54
- 2θ 35.4, d 2.537, rel. 44
- 2θ 36.9, d 2.439, rel. 42
- 2θ 40.2, d 2.245, rel. 38
- 2θ 34.4, d 2.609, rel. 34
- 2θ 44.7, d 2.027, rel. 27
- 2θ 27.0, d 3.299, rel. 24
- 2θ 50.2, d 1.819, rel. 22

Structure:
```
data_DyIn3Br7
_cell_length_a 11.0441
_cell_length_b 10.4341
_cell_length_c 7.5284
_cell_angle_alpha 90.00
_cell_angle_beta 109.15
_cell_angle_gamma 90.00
_space_group_name_H-M_alt 'C 1 m 1'
_space_group_IT_number 8
loop_
_space_group_symop_operation_xyz
'x,y,z'
'x,-y,z'
'x+1/2,y+1/2,z'
'x+1/2,-y+1/2,z'
loop_
_atom_site_label
_atom_site_fract_x
_atom_site_fract_y
_atom_site_fract_z
Dy1 0.0000 0.0000 0.0000
In1 0.0079 0.2219 0.5142
In2 0.0381 0.5000 0.0799
Br1 0.0029 0.5000 0.4783
Br2 0.1504 0.1954 0.2247
Br3 0.1540 0.0000 0.7668
Br4 0.3505 0.3067 0.7774
Br5 0.3551 0.5000 0.2511
```



11.
This entry pairs a crystal structure of Sm6TcSb2 with its computed X-ray powder pattern. Radiation: a wavelength of 1.5418 Å. Structure: the PBE geometry in Alexandria.
Lines closer than 0.1° are merged.

Peak list (12 most intense, 15° ≤ 2θ ≤ 90°, in order of falling intensity)
- 2θ 29.9, d 2.993, rel. 100
- 2θ 32.3, d 2.768, rel. 82
- 2θ 32.5, d 2.753, rel. 66
- 2θ 39.0, d 2.312, rel. 36
- 2θ 54.5, d 1.685, rel. 31
- 2θ 59.4, d 1.555, rel. 31
- 2θ 37.0, d 2.428, rel. 30
- 2θ 42.4, d 2.130, rel. 25
- 2θ 50.0, d 1.825, rel. 19
- 2θ 57.6, d 1.601, rel. 17
- 2θ 62.4, d 1.489, rel. 12
- 2θ 69.9, d 1.345, rel. 9

Structure:
```
data_Sm6TcSb2
_cell_length_a 4.2600
_cell_length_b 14.5673
_cell_length_c 8.4087
_cell_angle_alpha 90.00
_cell_angle_beta 90.00
_cell_angle_gamma 90.00
_space_group_name_H-M_alt 'A m m 2'
_space_group_IT_number 38
loop_
_space_group_symop_operation_xyz
'x,y,z'
'-x,-y,z'
'-x,y,z'
'x,-y,z'
'x,y+1/2,z+1/2'
'-x,-y+1/2,z+1/2'
'-x,y+1/2,z+1/2'
'x,-y+1/2,z+1/2'
loop_
_atom_site_label
_atom_site_fract_x
_atom_site_fract_y
_atom_site_fract_z
Sm1 0.0000 0.0000 0.0000
Sm2 0.0000 0.1189 0.6428
Sm3 0.5000 0.0000 0.3579
Sm4 0.5000 0.2019 0.9635
Tc1 0.5000 0.0000 0.7623
Sb1 0.0000 0.1667 0.2617
```



12.
This entry pairs a crystal structure of Ba2CdAg with its computed X-ray powder pattern. Radiation: a wavelength of 1.5418 Å. Structure: the PBE geometry in Alexandria.
Lines closer than 0.1° are merged.

Peak list (12 most intense, 15° ≤ 2θ ≤ 90°, in order of falling intensity)
- 2θ 27.5, d 3.239, rel. 100
- 2θ 36.1, d 2.490, rel. 92
- 2θ 25.2, d 3.528, rel. 70
- 2θ 32.9, d 2.721, rel. 62
- 2θ 58.4, d 1.580, rel. 42
- 2θ 49.6, d 1.838, rel. 40
- 2θ 37.8, d 2.382, rel. 29
- 2θ 46.0, d 1.974, rel. 24
- 2θ 59.8, d 1.547, rel. 22
- 2θ 64.8, d 1.438, rel. 21
- 2θ 20.9, d 4.247, rel. 19
- 2θ 44.3, d 2.044, rel. 16

Structure:
```
data_Ba2CdAg
_cell_length_a 4.9796
_cell_length_b 4.9796
_cell_length_c 24.5304
_cell_angle_alpha 90.00
_cell_angle_beta 90.00
_cell_angle_gamma 120.00
_space_group_name_H-M_alt 'R 3 m'
_space_group_IT_number 160
_space_group_name_Hall 'R 3 -2"'
loop_
_atom_site_label
_atom_site_fract_x
_atom_site_fract_y
_atom_site_fract_z
Ba1 0.0000 0.0000 0.0000
Ba2 0.0000 0.0000 0.1748
Cd1 0.0000 0.0000 0.4208
Ag1 0.0000 0.0000 0.7542
```